Record 1
For Nd2CdIn, a structure optimized by DFT (GGA-PBE) gives the calculated powder X-ray diffraction pattern in this record (CuKα).

Peak list (6 most intense, 2θ from 10° to 90°, in order of falling intensity)
two_theta, I_rel, hkl
32.7, 100.0, 2 2 0
58.3, 37.2, 4 2 2
46.9, 18.1, 4 0 0
77.9, 15.8, 6 2 0
68.4, 11.4, 4 4 0
87.1, 4.1, 4 4 4

Crystal structure
```
data_Nd2CdIn
_cell_length_a 7.7539
_cell_length_b 7.7539
_cell_length_c 7.7539
_cell_angle_alpha 90.00
_cell_angle_beta 90.00
_cell_angle_gamma 90.00
_symmetry_space_group_name_H-M 'F m -3 m'
_symmetry_Int_Tables_number 225
_symmetry_space_group_name_Hall '-F 4 2 3'
loop_
_atom_site_label
_atom_site_type_symbol
_atom_site_fract_x
_atom_site_fract_y
_atom_site_fract_z
_atom_site_occupancy
Nd1 Nd 0.2500 0.2500 0.2500 1
Cd1 Cd 0.0000 0.0000 0.0000 1
In1 In 0.0000 0.0000 0.5000 1
```

***

Record 2
For CdIn2O4, a structure optimized by DFT (GGA-PBE) gives the calculated powder X-ray diffraction pattern in this record (CuKα).

Peak list (6 most intense, 2θ from 10° to 90°, in order of falling intensity)
two_theta, I_rel, hkl
31.8, 100.0, 3 1 1
55.7, 40.5, 4 4 0
50.8, 38.2, 5 1 1
27.0, 27.4, 2 2 0
33.3, 22.1, 2 2 2
78.8, 19.9, 5 5 3

Crystal structure
Unit cell a=9.3307 b=9.3307 c=9.3307 alpha=90.00 beta=90.00 gamma=90.00
Space group Fd-3m (No. 227, origin choice 2)
One atom of each set of equivalent atoms:
1 Cd 0.1250 0.1250 0.1250 (multiplicity 8)
2 In 0.0000 0.0000 0.5000 (multiplicity 16)
3 O 0.0132 0.0132 0.7368 (multiplicity 32)

***

Record 3
For CdIn2O4, a structure optimized by DFT (GGA-PBE) gives the calculated powder X-ray diffraction pattern in this record (CuKα).

Peak list (6 most intense, 2θ from 10° to 90°, in order of falling intensity)
two_theta, I_rel, hkl
32.2, 100.0, 2 1 1
31.7, 97.8, 1 2 1
55.9, 78.6, 2 2 4
31.9, 53.9, 1 0 3
27.1, 52.6, 1 1 2
31.8, 44.2, 0 1 3

Crystal structure
```
data_CdIn2O4
_cell_length_a 6.4841
_cell_length_b 6.6686
_cell_length_c 9.3205
_cell_angle_alpha 90.00
_cell_angle_beta 90.00
_cell_angle_gamma 90.00
_symmetry_space_group_name_H-M 'I m m a'
_symmetry_Int_Tables_number 74
_symmetry_space_group_name_Hall '-I 2b 2'
loop_
_atom_site_label
_atom_site_type_symbol
_atom_site_fract_x
_atom_site_fract_y
_atom_site_fract_z
_atom_site_occupancy
Cd1 Cd 0.2500 0.2500 0.2500 1
In1 In 0.0000 0.0000 0.0000 1
In2 In 0.0000 0.2500 0.6336 1
O1 O 0.0000 0.0048 0.2347 1
O2 O 0.2309 0.2500 0.9980 1
```

***

Record 4
For CdInRh2, a structure optimized by DFT (GGA-PBE) gives the calculated powder X-ray diffraction pattern in this record (CuKα).

Peak list (4 most intense, 2θ from 10° to 90°, in order of falling intensity)
two_theta, I_rel, hkl
39.4, 100.0, 2 2 0
71.4, 32.9, 4 2 2
56.9, 16.5, 4 0 0
84.7, 10.5, 4 4 0

Crystal structure
```
data_CdInRh2
_cell_length_a 6.4726
_cell_length_b 6.4726
_cell_length_c 6.4726
_cell_angle_alpha 90.00
_cell_angle_beta 90.00
_cell_angle_gamma 90.00
_symmetry_space_group_name_H-M 'F m -3 m'
_symmetry_Int_Tables_number 225
_symmetry_space_group_name_Hall '-F 4 2 3'
loop_
_atom_site_label
_atom_site_type_symbol
_atom_site_fract_x
_atom_site_fract_y
_atom_site_fract_z
_atom_site_occupancy
Cd1 Cd 0.0000 0.0000 0.0000 1
In1 In 0.0000 0.0000 0.5000 1
Rh1 Rh 0.2500 0.2500 0.2500 1
```

***

Record 5
For CdInS2, a structure optimized by DFT (GGA-PBE) gives the calculated powder X-ray diffraction pattern in this record (CuKα).

Peak list (6 most intense, 2θ from 10° to 90°, in order of falling intensity)
two_theta, I_rel, hkl
37.7, 100.0, 0 1 2
26.6, 70.4, 1 0 0
47.0, 32.6, 1 1 0
61.7, 22.1, 2 0 2
81.0, 20.2, 1 2 2
26.2, 16.6, 0 0 2

Crystal structure
```
data_CdInS2
_cell_length_a 3.8695
_cell_length_b 3.8695
_cell_length_c 6.8105
_cell_angle_alpha 90.00
_cell_angle_beta 90.00
_cell_angle_gamma 120.00
_symmetry_space_group_name_H-M 'P -3 m 1'
_symmetry_Int_Tables_number 164
_symmetry_space_group_name_Hall '-P 3 2"'
loop_
_atom_site_label
_atom_site_type_symbol
_atom_site_fract_x
_atom_site_fract_y
_atom_site_fract_z
_atom_site_occupancy
Cd1 Cd 0.0000 0.0000 0.0000 1
In1 In 0.0000 0.0000 0.5000 1
S1 S 0.3333 0.6667 0.2450 1
```

***

Record 6
For CdIn2SeS3, a structure optimized by DFT (GGA-PBE) gives the calculated powder X-ray diffraction pattern in this record (CuKα).

Peak list (6 most intense, 2θ from 10° to 90°, in order of falling intensity)
two_theta, I_rel, hkl
26.4, 100.0, 0 1 3
45.9, 72.0, 2 2 4
32.0, 49.8, 0 0 4
26.5, 43.8, 2 1 1
42.0, 35.3, 1 0 5
41.9, 32.7, 2 3 1

Crystal structure
```
data_CdIn2SeS3
_cell_length_a 7.8785
_cell_length_b 7.9353
_cell_length_c 11.1809
_cell_angle_alpha 90.00
_cell_angle_beta 90.00
_cell_angle_gamma 90.00
_symmetry_space_group_name_H-M 'I m m 2'
_symmetry_Int_Tables_number 44
loop_
_symmetry_equiv_pos_as_xyz
'x,y,z'
'-x,-y,z'
'-x,y,z'
'x,-y,z'
'x+1/2,y+1/2,z+1/2'
'-x+1/2,-y+1/2,z+1/2'
'-x+1/2,y+1/2,z+1/2'
'x+1/2,-y+1/2,z+1/2'
loop_
_atom_site_label
_atom_site_type_symbol
_atom_site_fract_x
_atom_site_fract_y
_atom_site_fract_z
_atom_site_occupancy
Cd1 Cd 0.0000 0.0000 0.0000 1
Cd2 Cd 0.0000 0.5000 0.2399 1
In1 In 0.0000 0.2503 0.6270 1
In2 In 0.2439 0.5000 0.8736 1
Se1 Se 0.0000 0.2336 0.3821 1
S1 S 0.0000 0.2690 0.8642 1
S2 S 0.2286 0.0000 0.6133 1
S3 S 0.2291 0.5000 0.6341 1
```

***

Record 7
For Sc2CdIn, a structure optimized by DFT (GGA-PBE) gives the calculated powder X-ray diffraction pattern in this record (CuKα).

Peak list (6 most intense, 2θ from 10° to 90°, in order of falling intensity)
two_theta, I_rel, hkl
35.7, 100.0, 2 2 0
64.2, 33.1, 4 2 2
25.0, 24.1, 2 0 0
51.4, 16.8, 4 0 0
86.6, 14.3, 6 2 0
75.6, 10.0, 4 4 0

Crystal structure
```
data_Sc2CdIn
_cell_length_a 7.1120
_cell_length_b 7.1120
_cell_length_c 7.1120
_cell_angle_alpha 90.00
_cell_angle_beta 90.00
_cell_angle_gamma 90.00
_symmetry_space_group_name_H-M 'F m -3 m'
_symmetry_Int_Tables_number 225
_symmetry_space_group_name_Hall '-F 4 2 3'
loop_
_atom_site_label
_atom_site_type_symbol
_atom_site_fract_x
_atom_site_fract_y
_atom_site_fract_z
_atom_site_occupancy
Sc1 Sc 0.2500 0.2500 0.2500 1
Cd1 Cd 0.0000 0.0000 0.0000 1
In1 In 0.0000 0.0000 0.5000 1
```

***

Record 8
For Cd3In2Se6, a structure optimized by DFT (GGA-PBE) gives the calculated powder X-ray diffraction pattern in this record (CuKα).

Peak list (6 most intense, 2θ from 10° to 90°, in order of falling intensity)
two_theta, I_rel, hkl
23.8, 100.0, 1 1 0
41.8, 83.0, 3 0 0
46.1, 76.5, 1 1 9
27.1, 63.4, 2 -1 3
25.6, 55.0, 0 0 6
49.7, 49.9, 0 3 6

Crystal structure
```
data_Cd3In2Se6
_cell_length_a 7.4846
_cell_length_b 7.4846
_cell_length_c 20.8623
_cell_angle_alpha 90.00
_cell_angle_beta 90.00
_cell_angle_gamma 120.00
_symmetry_space_group_name_H-M 'R 3'
_symmetry_Int_Tables_number 146
_symmetry_space_group_name_Hall 'R 3'
loop_
_atom_site_label
_atom_site_type_symbol
_atom_site_fract_x
_atom_site_fract_y
_atom_site_fract_z
_atom_site_occupancy
Cd1 Cd 0.0052 0.3143 0.0000 1
In1 In 0.0000 0.0000 0.1634 1
In2 In 0.0000 0.0000 0.4997 1
Se1 Se 0.0000 0.0000 0.2907 1
Se2 Se 0.0000 0.0000 0.6270 1
Se3 Se 0.0000 0.0000 0.9446 1
Se4 Se 0.0114 0.3437 0.4623 1
```

***

Record 9
For CdIn2Se4, a structure optimized by DFT (GGA-PBE) gives the calculated powder X-ray diffraction pattern in this record (CuKα).

Peak list (6 most intense, 2θ from 10° to 90°, in order of falling intensity)
two_theta, I_rel, hkl
31.0, 100.0, 2 0 0
45.3, 66.7, 2 0 4
32.2, 44.0, 0 0 4
44.5, 36.4, 2 2 0
55.9, 35.1, 2 2 4
17.3, 30.6, 1 0 1

Crystal structure
```
data_CdIn2Se4
_cell_length_a 5.7644
_cell_length_b 5.7644
_cell_length_c 11.1239
_cell_angle_alpha 90.00
_cell_angle_beta 90.00
_cell_angle_gamma 90.00
_symmetry_space_group_name_H-M 'I -4 m 2'
_symmetry_Int_Tables_number 119
_symmetry_space_group_name_Hall 'I -4 -2'
loop_
_atom_site_label
_atom_site_type_symbol
_atom_site_fract_x
_atom_site_fract_y
_atom_site_fract_z
_atom_site_occupancy
Cd1 Cd 0.0000 0.0000 0.0000 1
In1 In 0.0000 0.0000 0.5000 1
In2 In 0.0000 0.5000 0.2500 1
Se1 Se 0.0000 0.0000 0.2593 1
Se2 Se 0.0000 0.5000 0.0105 1
```